Simulated powder XRD pattern
Compound: Ba2TaCrO6
Radiation: Cu Ka
Structure: a crystal structure in Alexandria, relaxed with GGA+U
Lines closer than 0.1° are merged.

Atomic structure:
Cell lengths 5.8190, 5.8190, 19.1439 Å; angles 90.00, 90.00, 120.00 degrees
Space group P6_3/mmc (No. 194)
Asymmetric unit:
Ba  0.0000  0.0000  0.0000
Ba  0.3333  0.6667  0.1421
Ba  0.3333  0.6667  0.7500
Ta  0.3333  0.6667  0.5634
Cr  0.0000  0.0000  0.1814
O  0.0000  0.5000  0.0000
O  0.1503  0.3006  0.2500
O  0.1706  0.3412  0.6200

The 8 most intense peaks (2θ from 10° to 90°), by angle:
2θ/deg	I/Imax
29.29	91
30.73	100
33.23	18
42.97	46
53.75	33
54.64	20
64.00	18
71.91	15